[1]
SrErO3: theoretical XRD peak list (Cu Kα (λ = 1.5418 Å)), based on DFT lattice parameters and positions (PBE).
Kinematic intensities with the Lorentz-polarization factor, no thermal factor.

Unit cell a=4.3348 b=4.3348 c=4.3348 alpha=90.00 beta=90.00 gamma=90.00
Space group Pm-3m (No. 221)
One atom of each set of equivalent atoms:
Sr (0.0000, 0.0000, 0.0000) x1
Er (0.5000, 0.5000, 0.5000) x1
O (0.0000, 0.5000, 0.5000) x3

Largest 10 diffraction maxima, most intense first, 15 to 90 degrees two-theta:
Position (°2θ)	d_spacing	Rel. int.	h k l
29.13	3.065	100	1 1 0
51.65	1.770	42	2 1 1
41.67	2.167	31	2 0 0
83.43	1.159	22	3 2 1
60.40	1.533	20	2 2 0
20.49	4.335	19	1 0 0
68.44	1.371	18	3 1 0
46.87	1.939	8	2 1 0
76.06	1.251	6	2 2 2
64.49	1.445	4	3 0 0

---

[2]
LiMg2: theoretical XRD peak list (Cu Kα (λ = 1.5418 Å)), based on DFT lattice parameters and positions (PBE).
Kinematic intensities with the Lorentz-polarization factor, no thermal factor.

Unit cell a=3.1713 b=3.1713 c=15.0225 alpha=90.00 beta=90.00 gamma=120.00
Space group P-6m2 (No. 187)
One atom of each set of equivalent atoms:
Li (0.0000, 0.0000, 0.1673) x2
Mg (0.0000, 0.0000, 0.5000) x1
Mg (0.3333, 0.6667, 0.0000) x1
Mg (0.3333, 0.6667, 0.3308) x2

Largest 10 diffraction maxima, most intense first, 15 to 90 degrees two-theta:
Position (°2θ)	d_spacing	Rel. int.	h k l
37.34	2.408	100	1 0 3
32.60	2.746	33	1 0 0
35.87	2.504	24	0 0 6
17.71	5.008	19	0 0 3
49.25	1.850	19	1 0 6
70.27	1.340	18	1 1 6
65.43	1.426	18	1 0 9
58.18	1.586	17	1 1 0
71.20	1.324	14	2 0 3
33.16	2.702	6	1 0 1

---

[3]
SiO2: theoretical XRD peak list (Cu Kα (λ = 1.5418 Å)), based on DFT lattice parameters and positions (PBE).
Kinematic intensities with the Lorentz-polarization factor, no thermal factor.

Unit cell a=9.0604 b=9.0604 c=16.2434 alpha=90.00 beta=90.00 gamma=90.00
Space group I4_1/acd (No. 142, origin choice 2)
One atom of each set of equivalent atoms:
Si (0.0534, 0.0301, 0.3439) x32
O (0.0037, 0.0000, 0.7500) x16
O (0.0861, 0.0742, 0.9024) x32
O (0.1276, 0.1224, 0.1250) x16

Largest 10 diffraction maxima, most intense first, 15 to 90 degrees two-theta:
Position (°2θ)	d_spacing	Rel. int.	h k l
27.85	3.203	100	2 2 0
21.89	4.061	94	0 0 4
22.47	3.956	68	2 0 2
22.62	3.931	54	2 1 1
35.41	2.535	51	2 1 5
17.63	5.030	26	1 1 2
58.31	1.583	16	4 3 5
46.18	1.966	14	4 2 2
33.16	2.702	13	3 1 2
52.73	1.736	12	5 1 2

---

[4]
SrGe3: theoretical XRD peak list (Cu Kα (λ = 1.5418 Å)), based on DFT lattice parameters and positions (PBE).
Kinematic intensities with the Lorentz-polarization factor, no thermal factor.

Unit cell a=7.8134 b=7.8134 c=12.1862 alpha=90.00 beta=90.00 gamma=90.00
Space group I4/mmm (No. 139)
One atom of each set of equivalent atoms:
Sr (0.0000, 0.0000, 0.1705) x4
Sr (0.0000, 0.5000, 0.2500) x4
Ge (0.0000, 0.3369, 0.0000) x8
Ge (0.1809, 0.1809, 0.3934) x16

Largest 10 diffraction maxima, most intense first, 15 to 90 degrees two-theta:
Position (°2θ)	d_spacing	Rel. int.	h k l
35.24	2.547	100	3 0 1
33.84	2.649	49	2 1 3
33.59	2.668	41	1 1 4
37.43	2.402	34	2 0 4
27.11	3.289	22	2 0 2
56.85	1.619	21	3 2 5
58.86	1.569	21	3 1 6
38.70	2.327	20	1 0 5
49.49	1.842	20	3 3 0
32.41	2.762	19	2 2 0